This entry pairs a crystal structure of Ho3MnS6 with its simulated X-ray diffraction stick pattern. Radiation: Cu Ka. Structure: a structure optimized by DFT (PBE).
Lines closer than 0.1° are merged.

Atomic structure:
```
Ho3MnS6
1.0
5.2830 -6.5701 0.0000
5.2830 6.5701 0.0000
0.0000 0.0000 6.4993
Ho Mn S
6 2 12
Direct
0.0993 0.9007 0.5000
0.2181 0.4165 0.4145
0.4165 0.2181 0.9145
0.5835 0.7819 0.4145
0.7819 0.5835 0.9145
0.9007 0.0993 0.0000
0.2998 0.7002 0.8748
0.7002 0.2998 0.3748
0.0685 0.5997 0.6972
0.1337 0.1918 0.7077
0.1918 0.1337 0.2077
0.2800 0.7200 0.2276
0.4003 0.9315 0.6972
0.4606 0.5394 0.7214
0.5394 0.4606 0.2214
0.5997 0.0685 0.1972
0.7200 0.2800 0.7276
0.8082 0.8663 0.7077
0.8663 0.8082 0.2077
0.9315 0.4003 0.1972
```

Main lines, low angle first (2θ = 10–80°):
17.38 deg, intensity 30; 25.61 deg, intensity 100; 25.94 deg, intensity 60; 26.20 deg, intensity 21; 29.59 deg, intensity 19; 35.50 deg, intensity 25; 38.30 deg, intensity 46; 38.99 deg, intensity 27; 42.94 deg, intensity 36; 49.92 deg, intensity 34